# Sr3SiO5
Simulated powder diffraction line list, Cu Kα (weighted mean of Kα1 and Kα2). Input: a PBE-relaxed structure.
No peak broadening, texture or thermal motion is included.

Structure:
a = 7.1272 Å, b = 7.1272 Å, c = 10.8381 Å
α = 90.00°, β = 90.00°, γ = 90.00°
Fractional coordinates of all 36 atoms:
Sr  0.0527  0.5527  0.2500
Sr  0.0527  0.9473  0.7500
Sr  0.2500  0.2500  0.0134
Sr  0.2500  0.2500  0.5134
Sr  0.4473  0.5527  0.7500
Sr  0.4473  0.9473  0.2500
Sr  0.5527  0.0527  0.7500
Sr  0.5527  0.4473  0.2500
Sr  0.7500  0.7500  0.4866
Sr  0.7500  0.7500  0.9866
Sr  0.9473  0.0527  0.2500
Sr  0.9473  0.4473  0.7500
Si  0.2500  0.7500  0.0000
Si  0.2500  0.7500  0.5000
Si  0.7500  0.2500  0.0000
Si  0.7500  0.2500  0.5000
O  0.0837  0.6693  0.9077
O  0.0837  0.8307  0.4077
O  0.1693  0.5837  0.5923
O  0.1693  0.9163  0.0923
O  0.2500  0.2500  0.2873
O  0.2500  0.2500  0.7873
O  0.3307  0.5837  0.0923
O  0.3307  0.9163  0.5923
O  0.4163  0.6693  0.4077
O  0.4163  0.8307  0.9077
O  0.5837  0.1693  0.0923
O  0.5837  0.3307  0.5923
O  0.6693  0.0837  0.4077
O  0.6693  0.4163  0.9077
O  0.7500  0.7500  0.2127
O  0.7500  0.7500  0.7127
O  0.8307  0.0837  0.9077
O  0.8307  0.4163  0.4077
O  0.9163  0.1693  0.5923
O  0.9163  0.3307  0.0923

Principal peaks in the range 15 to 90 degrees two-theta, most intense first:
2theta, d_spacing, I/Imax
30.01, 2.977, 100
37.64, 2.390, 41
35.63, 2.520, 28
49.39, 1.845, 24
29.20, 3.058, 24
33.06, 2.710, 21
53.70, 1.707, 18
40.00, 2.254, 18
57.17, 1.611, 16
87.55, 1.114, 12